[1]
The following is a simulated PXRD pattern of SmAlPd. It was derived from DFT lattice parameters and positions (GGA-PBE), using CuKα.
Kinematic intensities with the Lorentz-polarization factor, no thermal factor.

Peak list (10 most intense, 10° ≤ 2θ ≤ 90°, in order of falling intensity)
| 2θ/deg | Rel. int. | h k l |
| --- | --- | --- |
| 34.26 | 1000 | 2 1 1 |
| 32.66 | 573 | 1 1 2 |
| 39.78 | 339 | 0 2 0 |
| 25.98 | 279 | 1 1 1 |
| 45.07 | 196 | 3 0 2 |
| 36.42 | 194 | 1 0 3 |
| 39.55 | 170 | 0 1 3 |
| 41.68 | 163 | 1 1 3 |
| 52.15 | 149 | 4 0 0 |
| 61.66 | 141 | 3 2 2 |

Structural model:
```
data_SmAlPd
_chemical_formula_sum 'Sm4 Al4 Pd4'
_symmetry_space_group_name_H-M 'P n m a'
_symmetry_Int_Tables_number 62
_cell_length_a 7.0102
_cell_length_b 4.5320
_cell_length_c 7.9070
_cell_angle_alpha 90.00
_cell_angle_beta 90.00
_cell_angle_gamma 90.00
loop_
_symmetry_equiv_pos_as_xyz
'x,y,z'
'-x,-y,-z'
'-x+1/2,-y,z+1/2'
'x+1/2,y,-z+1/2'
'x+1/2,-y+1/2,-z+1/2'
'-x+1/2,y+1/2,z+1/2'
'-x,y+1/2,-z'
'x,-y+1/2,z'
loop_
_atom_site_label
_atom_site_type_symbol
_atom_site_fract_x
_atom_site_fract_y
_atom_site_fract_z
Sm1 Sm 0.0381 0.2500 0.1786
Al1 Al 0.1429 0.2500 0.5620
Pd1 Pd 0.2228 0.7500 0.3821
```

[2]
The following is a simulated PXRD pattern of Bi2PbS4. It was derived from DFT lattice parameters and positions (GGA-PBE), using CuKα.
Kinematic intensities with the Lorentz-polarization factor, no thermal factor.

Peak list (10 most intense, 10° ≤ 2θ ≤ 90°, in order of falling intensity)
| 2θ/deg | Rel. int. | h k l |
| --- | --- | --- |
| 25.53 | 1000 | 3 0 2 |
| 25.85 | 618 | 1 1 2 |
| 24.24 | 459 | 0 0 4 |
| 26.26 | 447 | 2 1 0 |
| 29.26 | 370 | 1 1 3 |
| 51.38 | 369 | 3 2 2 |
| 36.04 | 364 | 2 1 4 |
| 45.70 | 335 | 5 1 2 |
| 43.81 | 264 | 0 2 0 |
| 37.25 | 208 | 4 1 0 |

Structural model:
```
data_Bi2PbS4
_chemical_formula_sum 'Bi8 Pb4 S16'
_symmetry_space_group_name_H-M 'P n m a'
_symmetry_Int_Tables_number 62
_cell_length_a 11.8954
_cell_length_b 4.1329
_cell_length_c 14.6864
_cell_angle_alpha 90.00
_cell_angle_beta 90.00
_cell_angle_gamma 90.00
loop_
_symmetry_equiv_pos_as_xyz
'x,y,z'
'-x,-y,-z'
'-x+1/2,-y,z+1/2'
'x+1/2,y,-z+1/2'
'x+1/2,-y+1/2,-z+1/2'
'-x+1/2,y+1/2,z+1/2'
'-x,y+1/2,-z'
'x,-y+1/2,z'
loop_
_atom_site_label
_atom_site_type_symbol
_atom_site_fract_x
_atom_site_fract_y
_atom_site_fract_z
Bi1 Bi 0.0673 0.2500 0.1086
Bi2 Bi 0.1023 0.2500 0.5972
Pb1 Pb 0.2461 0.2500 0.8475
S1 S 0.0178 0.2500 0.7874
S2 S 0.0526 0.2500 0.4095
S3 S 0.1637 0.7500 0.9876
S4 S 0.2374 0.7500 0.6995
```

[3]
The following is a simulated PXRD pattern of CsNiN. It was derived from DFT lattice parameters and positions (GGA-PBE), using CuKα.
Kinematic intensities with the Lorentz-polarization factor, no thermal factor.

Peak list (10 most intense, 10° ≤ 2θ ≤ 90°, in order of falling intensity)
| 2θ/deg | Rel. int. | h k l |
| --- | --- | --- |
| 27.06 | 1000 | 3 0 1 |
| 29.85 | 893 | 2 1 0 |
| 49.62 | 316 | 5 1 1 |
| 28.14 | 312 | 1 0 2 |
| 40.70 | 249 | 2 1 2 |
| 38.22 | 217 | 1 1 2 |
| 59.61 | 208 | 3 2 1 |
| 52.54 | 127 | 4 0 3 |
| 34.27 | 114 | 4 0 1 |
| 51.55 | 111 | 2 1 3 |

Structural model:
```
data_CsNiN
_chemical_formula_sum 'Cs4 Ni4 N4'
_symmetry_space_group_name_H-M 'P n m a'
_symmetry_Int_Tables_number 62
_cell_length_a 11.3991
_cell_length_b 3.5156
_cell_length_c 6.6022
_cell_angle_alpha 90.00
_cell_angle_beta 90.00
_cell_angle_gamma 90.00
loop_
_symmetry_equiv_pos_as_xyz
'x,y,z'
'-x,-y,-z'
'-x+1/2,-y,z+1/2'
'x+1/2,y,-z+1/2'
'x+1/2,-y+1/2,-z+1/2'
'-x+1/2,y+1/2,z+1/2'
'-x,y+1/2,-z'
'x,-y+1/2,z'
loop_
_atom_site_label
_atom_site_type_symbol
_atom_site_fract_x
_atom_site_fract_y
_atom_site_fract_z
Cs1 Cs 0.1601 0.2500 0.0662
Ni1 Ni 0.0492 0.2500 0.5799
N1 N 0.0666 0.7500 0.6489
```

[4]
The following is a simulated PXRD pattern of Sc3Bi. It was derived from DFT lattice parameters and positions (GGA-PBE), using CuKα.
Kinematic intensities with the Lorentz-polarization factor, no thermal factor.

Peak list (10 most intense, 10° ≤ 2θ ≤ 90°, in order of falling intensity)
| 2θ/deg | Rel. int. | h k l |
| --- | --- | --- |
| 36.21 | 1000 | 2 0 1 |
| 23.31 | 674 | 1 0 1 |
| 27.32 | 305 | 1 1 0 |
| 15.67 | 254 | 1 0 0 |
| 34.68 | 250 | 0 0 2 |
| 31.65 | 240 | 2 0 0 |
| 45.95 | 236 | 2 1 1 |
| 67.91 | 204 | 2 2 2 |
| 63.15 | 191 | 2 0 3 |
| 56.37 | 180 | 2 2 0 |

Structural model:
```
data_Sc3Bi
_chemical_formula_sum 'Sc6 Bi2'
_symmetry_space_group_name_H-M 'P 63/m m c'
_symmetry_Int_Tables_number 194
_symmetry_space_group_name_Hall '-P 6c 2c'
_cell_length_a 6.5283
_cell_length_b 6.5283
_cell_length_c 5.1736
_cell_angle_alpha 90.00
_cell_angle_beta 90.00
_cell_angle_gamma 120.00
loop_
_atom_site_label
_atom_site_type_symbol
_atom_site_fract_x
_atom_site_fract_y
_atom_site_fract_z
Sc1 Sc 0.1649 0.3298 0.2500
Bi1 Bi 0.3333 0.6667 0.7500
```

[5]
The following is a simulated PXRD pattern of Mg2Si. It was derived from DFT lattice parameters and positions (GGA-PBE), using CuKα.
Kinematic intensities with the Lorentz-polarization factor, no thermal factor.

Peak list (10 most intense, 10° ≤ 2θ ≤ 90°, in order of falling intensity)
| 2θ/deg | Rel. int. | h k l |
| --- | --- | --- |
| 40.94 | 1000 | -1 1 3 |
| 37.96 | 719 | 1 -2 0 |
| 34.89 | 636 | 2 0 0 |
| 36.26 | 611 | 1 2 1 |
| 36.05 | 609 | 1 1 3 |
| 35.19 | 606 | 1 1 -2 |
| 38.69 | 573 | 0 1 -3 |
| 33.13 | 488 | 0 2 1 |
| 46.77 | 275 | 2 2 1 |
| 38.97 | 261 | 1 2 2 |

Structural model:
```
data_Mg2Si
_chemical_formula_sum 'Mg8 Si4'
_symmetry_space_group_name_H-M 'P -1'
_symmetry_Int_Tables_number 2
_cell_length_a 5.2029
_cell_length_b 5.5072
_cell_length_c 8.4617
_cell_angle_alpha 81.22
_cell_angle_beta 81.50
_cell_angle_gamma 86.76
loop_
_symmetry_equiv_pos_as_xyz
'x,y,z'
'-x,-y,-z'
loop_
_atom_site_label
_atom_site_type_symbol
_atom_site_fract_x
_atom_site_fract_y
_atom_site_fract_z
Mg1 Mg 0.1647 0.2367 0.0080
Mg2 Mg 0.2190 0.5526 0.6107
Mg3 Mg 0.2890 0.1281 0.3892
Mg4 Mg 0.3157 0.6813 0.2210
Si1 Si 0.1583 0.0418 0.7161
Si2 Si 0.3637 0.7223 0.8912
```

[6]
The following is a simulated PXRD pattern of Fe4S5. It was derived from DFT lattice parameters and positions (GGA-PBE), using CuKα.
Kinematic intensities with the Lorentz-polarization factor, no thermal factor.

Peak list (10 most intense, 10° ≤ 2θ ≤ 90°, in order of falling intensity)
| 2θ/deg | Rel. int. | h k l |
| --- | --- | --- |
| 17.10 | 1000 | 0 2 0 |
| 44.93 | 607 | 3 3 1 |
| 50.90 | 537 | 3 4 1 |
| 30.74 | 420 | 2 2 -1 |
| 40.25 | 407 | 3 2 1 |
| 52.85 | 365 | 4 1 -2 |
| 26.79 | 299 | 2 1 -1 |
| 57.91 | 296 | 3 5 1 |
| 52.06 | 241 | 4 0 -2 |
| 18.11 | 190 | 1 1 -1 |

Structural model:
```
data_Fe4S5
_chemical_formula_sum 'Fe8 S10'
_symmetry_space_group_name_H-M 'P 1 2 1'
_symmetry_Int_Tables_number 3
_cell_length_a 7.8556
_cell_length_b 10.3722
_cell_length_c 7.8581
_cell_angle_alpha 90.00
_cell_angle_beta 90.06
_cell_angle_gamma 90.00
loop_
_symmetry_equiv_pos_as_xyz
'x,y,z'
'-x,y,-z'
loop_
_atom_site_label
_atom_site_type_symbol
_atom_site_fract_x
_atom_site_fract_y
_atom_site_fract_z
Fe1 Fe 0.0963 0.0000 0.2073
Fe2 Fe 0.2057 0.9990 0.9048
Fe3 Fe 0.2942 0.0087 0.5987
Fe4 Fe 0.4021 0.0097 0.2950
S1 S 0.0000 0.1201 0.0000
S2 S 0.1107 0.8811 0.7088
S3 S 0.2005 0.1264 0.3906
S4 S 0.2977 0.8821 0.1141
S5 S 0.3903 0.1255 0.7948
S6 S 0.5000 0.8885 0.5000
```

[7]
The following is a simulated PXRD pattern of Sb. It was derived from DFT lattice parameters and positions (GGA-PBE), using CuKα.
Kinematic intensities with the Lorentz-polarization factor, no thermal factor.

Peak list (10 most intense, 10° ≤ 2θ ≤ 90°, in order of falling intensity)
| 2θ/deg | Rel. int. | h k l |
| --- | --- | --- |
| 28.86 | 1000 | 0 1 1 |
| 28.21 | 496 | 1 0 0 |
| 41.23 | 368 | 1 1 1 |
| 40.37 | 355 | 1 1 -1 |
| 40.97 | 188 | 0 0 2 |
| 51.01 | 188 | 1 2 0 |
| 41.58 | 186 | 0 2 0 |
| 59.80 | 121 | 0 2 2 |
| 51.21 | 99 | 1 0 2 |
| 49.75 | 89 | 1 0 -2 |

Structural model:
```
data_Sb
_chemical_formula_sum 'Sb2'
_symmetry_space_group_name_H-M 'P 1 21/m 1'
_symmetry_Int_Tables_number 11
_cell_length_a 3.1646
_cell_length_b 4.3438
_cell_length_c 4.4077
_cell_angle_alpha 90.00
_cell_angle_beta 91.66
_cell_angle_gamma 90.00
loop_
_symmetry_equiv_pos_as_xyz
'x,y,z'
'-x,-y,-z'
'-x,y+1/2,-z'
'x,-y+1/2,z'
loop_
_atom_site_label
_atom_site_type_symbol
_atom_site_fract_x
_atom_site_fract_y
_atom_site_fract_z
Sb1 Sb 0.0434 0.2500 0.2365
```

[8]
The following is a simulated PXRD pattern of ErAlNi. It was derived from DFT lattice parameters and positions (GGA-PBE), using CuKα.
Kinematic intensities with the Lorentz-polarization factor, no thermal factor.

Peak list (10 most intense, 10° ≤ 2θ ≤ 90°, in order of falling intensity)
| 2θ/deg | Rel. int. | h k l |
| --- | --- | --- |
| 34.90 | 1000 | 1 1 1 |
| 38.04 | 994 | 2 0 1 |
| 25.55 | 395 | 1 1 0 |
| 60.38 | 383 | 3 1 1 |
| 29.58 | 377 | 2 0 0 |
| 39.47 | 334 | 2 1 0 |
| 23.38 | 291 | 0 0 1 |
| 54.80 | 276 | 3 1 0 |
| 47.82 | 215 | 0 0 2 |
| 75.65 | 214 | 3 1 2 |

Structural model:
```
data_ErAlNi
_chemical_formula_sum 'Er3 Al3 Ni3'
_symmetry_space_group_name_H-M 'P -6 2 m'
_symmetry_Int_Tables_number 189
_symmetry_space_group_name_Hall 'P -6 -2'
_cell_length_a 6.9741
_cell_length_b 6.9741
_cell_length_c 3.8042
_cell_angle_alpha 90.00
_cell_angle_beta 90.00
_cell_angle_gamma 120.00
loop_
_atom_site_label
_atom_site_type_symbol
_atom_site_fract_x
_atom_site_fract_y
_atom_site_fract_z
Er1 Er 0.0000 0.4167 0.0000
Al1 Al 0.0000 0.7623 0.5000
Ni1 Ni 0.0000 0.0000 0.0000
Ni2 Ni 0.3333 0.6667 0.5000
```

[9]
The following is a simulated PXRD pattern of V3S4. It was derived from DFT lattice parameters and positions (GGA-PBE), using CuKα.
Kinematic intensities with the Lorentz-polarization factor, no thermal factor.

Peak list (10 most intense, 10° ≤ 2θ ≤ 90°, in order of falling intensity)
| 2θ/deg | Rel. int. | h k l |
| --- | --- | --- |
| 35.01 | 1000 | 1 1 1 |
| 45.51 | 627 | 5 1 -1 |
| 44.58 | 583 | 3 1 1 |
| 17.29 | 480 | 2 0 -1 |
| 47.54 | 376 | 4 0 -3 |
| 54.85 | 364 | 3 1 -3 |
| 15.54 | 314 | 2 0 0 |
| 56.68 | 297 | 0 2 0 |
| 42.54 | 248 | 3 1 -2 |
| 45.26 | 244 | 6 0 -2 |

Structural model:
```
data_V3S4
_chemical_formula_sum 'V6 S8'
_symmetry_space_group_name_H-M 'C 1 2/m 1'
_symmetry_Int_Tables_number 12
_cell_length_a 12.6213
_cell_length_b 3.2480
_cell_length_c 5.8634
_cell_angle_alpha 90.00
_cell_angle_beta 115.35
_cell_angle_gamma 90.00
loop_
_symmetry_equiv_pos_as_xyz
'x,y,z'
'-x,-y,-z'
'-x,y,-z'
'x,-y,z'
'x+1/2,y+1/2,z'
'-x+1/2,-y+1/2,-z'
'-x+1/2,y+1/2,-z'
'x+1/2,-y+1/2,z'
loop_
_atom_site_label
_atom_site_type_symbol
_atom_site_fract_x
_atom_site_fract_y
_atom_site_fract_z
V1 V 0.0000 0.0000 0.0000
V2 V 0.2421 0.5000 0.6812
S1 S 0.1095 0.0000 0.4492
S2 S 0.1407 0.5000 0.9809
```

[10]
The following is a simulated PXRD pattern of HoPO4. It was derived from DFT lattice parameters and positions (GGA-PBE), using CuKα.
Kinematic intensities with the Lorentz-polarization factor, no thermal factor.

Peak list (10 most intense, 10° ≤ 2θ ≤ 90°, in order of falling intensity)
| 2θ/deg | Rel. int. | h k l |
| --- | --- | --- |
| 25.68 | 1000 | 2 0 0 |
| 34.89 | 667 | 1 1 2 |
| 19.49 | 608 | 1 0 1 |
| 51.49 | 539 | 3 1 2 |
| 32.44 | 269 | 2 1 1 |
| 41.83 | 215 | 3 0 1 |
| 36.64 | 215 | 2 2 0 |
| 49.74 | 214 | 3 2 1 |
| 64.85 | 156 | 3 3 2 |
| 52.79 | 142 | 4 0 0 |

Structural model:
```
data_HoPO4
_chemical_formula_sum 'Ho4 P4 O16'
_symmetry_space_group_name_H-M 'I 41/a m d'
_symmetry_Int_Tables_number 141
_cell_length_a 6.9371
_cell_length_b 6.9371
_cell_length_c 6.0396
_cell_angle_alpha 90.00
_cell_angle_beta 90.00
_cell_angle_gamma 90.00
loop_
_symmetry_equiv_pos_as_xyz
'x,y,z'
'-x,-y,-z'
'-y+1/4,x+3/4,z+1/4'
'y+1/4,-x+3/4,-z+1/4'
'-x+1/2,-y,z+1/2'
'x+1/2,y,-z+1/2'
'y+1/4,-x+1/4,z+3/4'
'-y+1/4,x+1/4,-z+3/4'
'x,-y,-z'
'-x,y,z'
'-y+1/4,-x+1/4,-z+3/4'
'y+1/4,x+1/4,z+3/4'
'-x+1/2,y,-z+1/2'
'x+1/2,-y,z+1/2'
'y+1/4,x+3/4,-z+1/4'
'-y+1/4,-x+3/4,z+1/4'
'x+1/2,y+1/2,z+1/2'
'-x+1/2,-y+1/2,-z+1/2'
'-y+3/4,x+1/4,z+3/4'
'y+3/4,-x+1/4,-z+3/4'
'-x,-y+1/2,z'
'x,y+1/2,-z'
'y+3/4,-x+3/4,z+1/4'
'-y+3/4,x+3/4,-z+1/4'
'x+1/2,-y+1/2,-z+1/2'
'-x+1/2,y+1/2,z+1/2'
'-y+3/4,-x+3/4,-z+1/4'
'y+3/4,x+3/4,z+1/4'
'-x,y+1/2,-z'
'x,-y+1/2,z'
'y+3/4,x+1/4,-z+3/4'
'-y+3/4,-x+1/4,z+3/4'
loop_
_atom_site_label
_atom_site_type_symbol
_atom_site_fract_x
_atom_site_fract_y
_atom_site_fract_z
Ho1 Ho 0.0000 0.2500 0.3750
P1 P 0.0000 0.2500 0.8750
O1 O 0.0000 0.0752 0.7140
```